(1)
Structure and computed powder diffraction line list of NaNiBr (a PBE-relaxed structure; Cu Kα, 1.54184 Å).
Lines closer than 0.1° are merged.

Cell and atoms:
a b c (Å): 4.270 4.251 7.817
angles (deg): 90.00 102.40 90.00
Space group Pm (No. 6)
One atom of each set of equivalent atoms:
Na (0.000, 0.000, 0.000)
Na (0.153, 0.500, 0.447)
Ni (0.457, 0.500, 0.843)
Ni (0.547, 0.500, 0.169)
Br (0.392, 0.000, 0.735)
Br (0.613, 0.000, 0.286)

Largest 10 diffraction maxima, by angle, 2θ = 10–80°:
21.3°, intensity 100.0; 22.0°, intensity 54.0; 23.3°, intensity 53.9; 28.1°, intensity 43.7; 34.0°, intensity 54.6; 35.1°, intensity 30.3; 35.3°, intensity 30.9; 41.3°, intensity 43.8; 42.4°, intensity 34.0; 42.5°, intensity 40.7

---

(2)
Structure and computed powder diffraction line list of Tb5Dy5Y (a PBE-relaxed structure; Cu Kα, 1.54184 Å).
Lines closer than 0.1° are merged.

Cell and atoms:
a b c (Å): 6.823 6.847 8.620
angles (deg): 75.18 75.13 69.98
Space group P-1 (No. 2)
One atom of each set of equivalent atoms:
Tb (0.000, 0.000, 0.000)
Tb (0.149, 0.223, 0.275)
Tb (0.272, 0.350, 0.728)
Dy (0.187, 0.680, 0.366)
Dy (0.355, 0.853, 0.636)
Dy (0.500, 0.000, 0.000)
Y (0.500, 0.500, 0.000)

Largest 10 diffraction maxima, by angle, 2θ = 10–80°:
31.5°, intensity 19.6; 31.8°, intensity 17.5; 32.0°, intensity 60.5; 32.2°, intensity 51.0; 32.3°, intensity 48.8; 32.5°, intensity 100.0; 32.8°, intensity 32.4; 46.3°, intensity 16.9; 50.3°, intensity 18.4; 57.3°, intensity 22.2

---

(3)
Structure and computed powder diffraction line list of LiNp3S4 (a PBE-relaxed structure; Cu Kα, 1.54184 Å).
Lines closer than 0.1° are merged.

Cell and atoms:
a b c (Å): 6.721 3.864 6.774
angles (deg): 90.00 109.42 90.00
Space group P2/m (No. 10)
One atom of each set of equivalent atoms:
Li (0.000, 0.000, 0.000)
Np (0.000, 0.500, 0.500)
Np (0.500, 0.000, 0.500)
Np (0.500, 0.500, 0.000)
S (0.243, 0.500, 0.245)
S (0.247, 0.000, 0.753)

Largest 10 diffraction maxima, by angle, 2θ = 10–80°:
13.9°, intensity 26.3; 14.0°, intensity 25.7; 27.0°, intensity 30.0; 27.9°, intensity 33.6; 28.2°, intensity 98.5; 32.5°, intensity 50.5; 32.6°, intensity 100.0; 46.6°, intensity 55.7; 46.9°, intensity 36.5; 55.5°, intensity 27.9

---

(4)
Structure and computed powder diffraction line list of PmNd4Sm4 (a PBE-relaxed structure; Cu Kα, 1.54184 Å).
Lines closer than 0.1° are merged.

Cell and atoms:
a b c (Å): 10.964 10.964 5.170
angles (deg): 90.00 90.00 90.00
Space group I4/mmm (No. 139)
One atom of each set of equivalent atoms:
Pm (0.000, 0.000, 0.000)
Nd (0.167, 0.167, 0.500)
Sm (0.000, 0.334, 0.000)

Largest 6 diffraction maxima, by angle, 2θ = 10–80°:
29.9°, intensity 100.0; 34.7°, intensity 50.7; 49.9°, intensity 36.3; 59.3°, intensity 43.3; 62.2°, intensity 12.5; 73.3°, intensity 5.8

---

(5)
Structure and computed powder diffraction line list of YHfTcRu (a PBE-relaxed structure; Cu Kα, 1.54184 Å).
Lines closer than 0.1° are merged.

Cell and atoms:
a b c (Å): 6.662 6.662 6.662
angles (deg): 90.00 90.00 90.00
Space group F-43m (No. 216)
One atom of each set of equivalent atoms:
Y (0.000, 0.000, 0.000)
Hf (0.000, 0.000, 0.500)
Tc (0.250, 0.250, 0.250)
Ru (0.250, 0.250, 0.750)

Largest 10 diffraction maxima, by angle, 2θ = 10–80°:
23.1°, intensity 7.6; 26.8°, intensity 2.2; 38.2°, intensity 100.0; 45.1°, intensity 4.3; 47.3°, intensity 0.7; 55.1°, intensity 17.1; 60.6°, intensity 1.9; 62.3°, intensity 0.9; 69.1°, intensity 34.3; 73.9°, intensity 1.4

---

(6)
Structure and computed powder diffraction line list of PmPr3Sn2 (a PBE-relaxed structure; Cu Kα, 1.54184 Å).
Lines closer than 0.1° are merged.

Cell and atoms:
a b c (Å): 4.685 4.685 8.874
angles (deg): 90.00 90.00 90.00
Space group P-4m2 (No. 115)
One atom of each set of equivalent atoms:
Pm (0.000, 0.000, 0.000)
Pr (0.000, 0.500, 0.352)
Pr (0.500, 0.500, 0.000)
Sn (0.000, 0.500, 0.722)

Largest 10 diffraction maxima, by angle, 2θ = 10–80°:
28.8°, intensity 100.0; 30.2°, intensity 40.4; 33.8°, intensity 94.1; 35.9°, intensity 20.8; 38.4°, intensity 61.4; 49.6°, intensity 40.9; 55.5°, intensity 21.3; 63.7°, intensity 21.0; 64.5°, intensity 18.7; 66.5°, intensity 26.9

---

(7)
Structure and computed powder diffraction line list of Ca3LaGe2 (a PBE-relaxed structure; Cu Kα, 1.54184 Å).
Lines closer than 0.1° are merged.

Cell and atoms:
a b c (Å): 4.815 9.269 7.735
angles (deg): 90.00 90.00 90.00
Space group Pmc2_1 (No. 26)
One atom of each set of equivalent atoms:
Ca (0.000, 0.082, 0.000)
Ca (0.000, 0.315, 0.375)
Ca (0.500, 0.171, 0.673)
La (0.500, 0.434, 0.049)
Ge (0.000, 0.365, 0.772)
Ge (0.500, 0.146, 0.268)

Largest 10 diffraction maxima, by angle, 2θ = 10–80°:
23.8°, intensity 13.3; 29.1°, intensity 43.1; 29.6°, intensity 18.6; 30.1°, intensity 15.7; 31.2°, intensity 100.0; 34.5°, intensity 30.2; 36.5°, intensity 14.7; 37.3°, intensity 34.5; 40.0°, intensity 16.9; 55.9°, intensity 12.5

---

(8)
Structure and computed powder diffraction line list of CeTl2CuCl6 (a PBE-relaxed structure; Cu Kα, 1.54184 Å).
Lines closer than 0.1° are merged.

Cell and atoms:
a b c (Å): 7.726 8.679 12.117
angles (deg): 90.00 129.10 90.00
Space group P2_1/c (No. 14)
One atom of each set of equivalent atoms:
Ce (0.000, 0.000, 0.000)
Tl (0.276, 0.087, 0.749)
Cu (0.500, 0.000, 0.500)
Cl (0.189, 0.034, 0.290)
Cl (0.221, 0.729, 0.055)
Cl (0.348, 0.156, 0.046)

Largest 10 diffraction maxima, by angle, 2θ = 10–80°:
20.5°, intensity 37.9; 22.6°, intensity 40.0; 23.0°, intensity 57.1; 24.3°, intensity 74.7; 24.5°, intensity 100.0; 31.0°, intensity 44.5; 32.4°, intensity 36.7; 34.4°, intensity 61.9; 38.3°, intensity 32.4; 41.5°, intensity 32.5

---

(9)
Structure and computed powder diffraction line list of Ca3Rh2Pb3 (a PBE-relaxed structure; Cu Kα, 1.54184 Å).
Lines closer than 0.1° are merged.

Cell and atoms:
a b c (Å): 8.439 16.366 6.016
angles (deg): 90.00 90.00 90.00
Space group Pnma (No. 62)
One atom of each set of equivalent atoms:
Ca (0.039, 0.110, 0.103)
Ca (0.182, 0.250, 0.639)
Rh (0.107, 0.610, 0.389)
Pb (0.158, 0.750, 0.634)
Pb (0.184, 0.041, 0.599)

Largest 10 diffraction maxima, by angle, 2θ = 10–80°:
18.1°, intensity 96.1; 22.0°, intensity 100.0; 31.6°, intensity 65.9; 32.9°, intensity 54.3; 34.0°, intensity 86.3; 35.2°, intensity 85.9; 35.7°, intensity 94.4; 38.7°, intensity 92.8; 42.9°, intensity 79.0; 44.3°, intensity 54.9

---

(10)
Structure and computed powder diffraction line list of As5W3 (a PBE-relaxed structure; Cu Kα, 1.54184 Å).
Lines closer than 0.1° are merged.

Cell and atoms:
a b c (Å): 7.711 4.918 8.141
angles (deg): 90.00 104.05 90.00
Space group Pm (No. 6)
One atom of each set of equivalent atoms:
As (0.000, 0.000, 0.000)
As (0.009, 0.500, 0.309)
As (0.187, 0.500, 0.950)
As (0.316, 0.000, 0.612)
As (0.547, 0.000, 0.427)
As (0.565, 0.500, 0.673)
As (0.584, 0.254, 0.077)
As (0.910, 0.241, 0.596)
W (0.211, 0.500, 0.650)
W (0.314, 0.000, 0.914)
W (0.673, 0.500, 0.381)
W (0.694, 0.000, 0.762)
W (0.837, 0.500, 0.974)
W (0.853, 0.000, 0.252)

Largest 10 diffraction maxima, by angle, 2θ = 10–80°:
11.8°, intensity 94.3; 23.7°, intensity 54.6; 29.2°, intensity 66.0; 33.5°, intensity 62.5; 34.0°, intensity 61.1; 36.5°, intensity 77.6; 39.7°, intensity 59.0; 41.1°, intensity 100.0; 44.0°, intensity 88.2; 44.7°, intensity 87.8

---

(11)
Structure and computed powder diffraction line list of NdHo8 (a PBE-relaxed structure; Cu Kα, 1.54184 Å).
Lines closer than 0.1° are merged.

Cell and atoms:
a b c (Å): 10.632 10.632 4.998
angles (deg): 90.00 90.00 90.00
Space group I4/mmm (No. 139)
One atom of each set of equivalent atoms:
Nd (0.000, 0.000, 0.000)
Ho (0.000, 0.334, 0.000)
Ho (0.168, 0.168, 0.500)

Largest 9 diffraction maxima, by angle, 2θ = 10–80°:
30.9°, intensity 100.0; 35.8°, intensity 33.8; 35.9°, intensity 16.8; 51.6°, intensity 36.0; 61.4°, intensity 28.6; 61.5°, intensity 14.2; 64.5°, intensity 12.3; 75.9°, intensity 3.8; 76.2°, intensity 1.9

---

(12)
Structure and computed powder diffraction line list of NbRuNO2 (a PBE-relaxed structure; Cu Kα, 1.54184 Å).
Lines closer than 0.1° are merged.

Cell and atoms:
a b c (Å): 3.968 3.968 4.158
angles (deg): 90.00 90.00 90.00
Space group P4/mmm (No. 123)
One atom of each set of equivalent atoms:
Nb (0.000, 0.000, 0.000)
Ru (0.500, 0.500, 0.500)
N (0.000, 0.000, 0.500)
O (0.000, 0.500, 0.000)

Largest 10 diffraction maxima, by angle, 2θ = 10–80°:
31.2°, intensity 100.0; 31.9°, intensity 43.9; 43.5°, intensity 16.8; 45.7°, intensity 28.9; 55.0°, intensity 18.7; 56.4°, intensity 37.0; 65.0°, intensity 18.6; 66.7°, intensity 8.6; 72.2°, intensity 8.8; 75.4°, intensity 7.7

---

(13)
Structure and computed powder diffraction line list of NaLi4Zn (a PBE-relaxed structure; Cu Kα, 1.54184 Å).
Lines closer than 0.1° are merged.

Cell and atoms:
a b c (Å): 7.892 7.892 7.892
angles (deg): 90.00 90.00 90.00
Space group F-43m (No. 216)
One atom of each set of equivalent atoms:
Na (0.000, 0.000, 0.000)
Li (0.124, 0.124, 0.376)
Zn (0.250, 0.250, 0.750)

Largest 10 diffraction maxima, by angle, 2θ = 10–80°:
19.5°, intensity 100.0; 22.5°, intensity 26.0; 32.1°, intensity 91.7; 37.8°, intensity 91.0; 50.4°, intensity 23.4; 57.2°, intensity 32.6; 61.0°, intensity 27.9; 67.1°, intensity 14.4; 70.6°, intensity 15.9; 76.3°, intensity 12.8